[1]
LiPm2PaO6: calculated powder XRD pattern (Cu Kα (weighted mean of Kα1 and Kα2)), based on DFT lattice parameters and positions (PBE).
Kinematic intensities with the Lorentz-polarization factor, no thermal factor.

Top 8 peaks for 10 to 90 degrees two-theta, by angle:
d/Å  two_theta  I (rel.)
4.865  18.2  724
3.046  29.3  993
2.966  30.1  1000
2.557  35.1  334
2.125  42.5  436
1.921  47.3  323
1.728  53.0  438
1.712  53.5  307

Cell and atoms:
a = 6.0974 Å, b = 6.0974 Å, c = 6.0974 Å
α = 58.22°, β = 58.22°, γ = 58.22°
Fractional coordinates of all 10 atoms:
Li 0.0000 0.0000 0.0000
Pm 0.2783 0.2783 0.2783
Pm 0.7820 0.7820 0.7820
Pa 0.4958 0.4958 0.4958
O 0.1257 0.6815 0.3915
O 0.2082 0.6045 0.8650
O 0.3915 0.1257 0.6815
O 0.6045 0.8650 0.2082
O 0.6815 0.3915 0.1257
O 0.8650 0.2082 0.6045

[2]
Li4PaPt3O12: calculated powder XRD pattern (Cu Kα (weighted mean of Kα1 and Kα2)), based on DFT lattice parameters and positions (PBE).
Kinematic intensities with the Lorentz-polarization factor, no thermal factor.

Top 8 peaks for 10 to 90 degrees two-theta, by angle:
d/Å  two_theta  I (rel.)
3.729  23.9  1000
2.637  34.0  823
2.153  42.0  390
1.865  48.8  196
1.668  55.1  414
1.522  60.8  402
1.243  76.7  231
1.179  81.6  155

Cell and atoms:
a = 6.4589 Å, b = 6.4589 Å, c = 6.4589 Å
α = 109.47°, β = 109.47°, γ = 109.47°
Fractional coordinates of all 20 atoms:
Li 0.0000 0.0000 0.5000
Li 0.0000 0.5000 0.0000
Li 0.5000 0.0000 0.0000
Li 0.5000 0.5000 0.5000
Pa 0.0000 0.0000 0.0000
Pt 0.0000 0.5000 0.5000
Pt 0.5000 0.0000 0.5000
Pt 0.5000 0.5000 0.0000
O 0.1354 0.2990 0.8363
O 0.1637 0.4627 0.2990
O 0.1637 0.8646 0.7010
O 0.2990 0.1637 0.4627
O 0.2990 0.8363 0.1354
O 0.4627 0.2990 0.1637
O 0.5373 0.7010 0.8363
O 0.7010 0.1637 0.8646
O 0.7010 0.8363 0.5373
O 0.8363 0.1354 0.2990
O 0.8363 0.5373 0.7010
O 0.8646 0.7010 0.1637

[3]
LiPu2PaO8: calculated powder XRD pattern (Cu Kα (weighted mean of Kα1 and Kα2)), based on DFT lattice parameters and positions (PBE).
Kinematic intensities with the Lorentz-polarization factor, no thermal factor.

Top 8 peaks for 10 to 90 degrees two-theta, by angle:
d/Å  two_theta  I (rel.)
5.064  17.5  291
4.069  21.8  348
3.641  24.4  594
3.524  25.3  531
2.833  31.6  1000
2.532  35.5  321
1.905  47.7  423
1.871  48.7  385

Cell and atoms:
a = 5.0667 Å, b = 5.0667 Å, c = 6.8350 Å
α = 90.00°, β = 90.00°, γ = 91.88°
Fractional coordinates of all 12 atoms:
Li 0.0000 0.0000 0.0000
Pu 0.5000 0.5000 0.2438
Pu 0.5000 0.5000 0.7562
Pa 0.0000 0.0000 0.5000
O 0.1984 0.1984 0.2620
O 0.1984 0.1984 0.7380
O 0.3139 0.6861 0.5000
O 0.3239 0.6761 0.0000
O 0.6761 0.3239 0.0000
O 0.6861 0.3139 0.5000
O 0.8016 0.8016 0.2620
O 0.8016 0.8016 0.7380

[4]
Li2PuPaO6: calculated powder XRD pattern (Cu Kα (weighted mean of Kα1 and Kα2)), based on DFT lattice parameters and positions (PBE).
Kinematic intensities with the Lorentz-polarization factor, no thermal factor.

Top 8 peaks for 10 to 90 degrees two-theta, by angle:
d/Å  two_theta  I (rel.)
4.017  22.1  1000
2.975  30.0  469
2.722  32.9  314
2.253  40.0  197
2.008  45.1  178
1.864  48.9  301
1.736  52.7  196
1.616  57.0  170

Cell and atoms:
a = 6.0023 Å, b = 6.0023 Å, c = 6.0023 Å
α = 53.94°, β = 53.94°, γ = 53.94°
Fractional coordinates of all 10 atoms:
Li 0.2156 0.2156 0.2156
Li 0.7844 0.7844 0.7844
Pu 0.5000 0.5000 0.5000
Pa 0.0000 0.0000 0.0000
O 0.1105 0.7612 0.3932
O 0.2388 0.6068 0.8895
O 0.3932 0.1105 0.7612
O 0.6068 0.8895 0.2388
O 0.7612 0.3932 0.1105
O 0.8895 0.2388 0.6068

[5]
Rb2LiPa2O7: calculated powder XRD pattern (Cu Kα (weighted mean of Kα1 and Kα2)), based on DFT lattice parameters and positions (PBE).
Kinematic intensities with the Lorentz-polarization factor, no thermal factor.

Top 8 peaks for 10 to 90 degrees two-theta, by angle:
d/Å  two_theta  I (rel.)
5.735  15.5  334
4.307  20.6  761
3.170  28.1  1000
3.101  28.8  553
2.193  41.2  312
1.954  46.5  186
1.844  49.4  203
1.803  50.6  416

Cell and atoms:
a = 11.8822 Å, b = 11.8822 Å, c = 11.8822 Å
α = 158.73°, β = 158.73°, γ = 30.26°
Fractional coordinates of all 12 atoms:
Rb 0.1913 0.1913 0.0000
Rb 0.8087 0.8087 0.0000
Li 0.0000 0.0000 0.0000
Pa 0.4067 0.4067 0.0000
Pa 0.5933 0.5933 0.0000
O 0.0890 0.5890 0.5000
O 0.3177 0.3177 0.0000
O 0.4110 0.9110 0.5000
O 0.5000 0.5000 0.0000
O 0.5890 0.0890 0.5000
O 0.6823 0.6823 0.0000
O 0.9110 0.4110 0.5000

[6]
Li2PaSiO6: calculated powder XRD pattern (Cu Kα (weighted mean of Kα1 and Kα2)), based on DFT lattice parameters and positions (PBE).
Kinematic intensities with the Lorentz-polarization factor, no thermal factor.

Top 8 peaks for 10 to 90 degrees two-theta, by angle:
d/Å  two_theta  I (rel.)
4.875  18.2  219
4.188  21.2  637
3.752  23.7  1000
2.805  31.9  405
2.524  35.6  245
2.431  37.0  200
2.241  40.2  327
1.753  52.2  373

Cell and atoms:
a = 5.6794 Å, b = 5.6794 Å, c = 5.6794 Å
α = 52.77°, β = 52.77°, γ = 52.77°
Fractional coordinates of all 10 atoms:
Li 0.2041 0.2041 0.2041
Li 0.7959 0.7959 0.7959
Pa 0.0000 0.0000 0.0000
Si 0.5000 0.5000 0.5000
O 0.1583 0.7382 0.3907
O 0.2618 0.6093 0.8417
O 0.3907 0.1583 0.7382
O 0.6093 0.8417 0.2618
O 0.7382 0.3907 0.1583
O 0.8417 0.2618 0.6093

[7]
LiPaSiO5: calculated powder XRD pattern (Cu Kα (weighted mean of Kα1 and Kα2)), based on DFT lattice parameters and positions (PBE).
Kinematic intensities with the Lorentz-polarization factor, no thermal factor.

Top 8 peaks for 10 to 90 degrees two-theta, by angle:
d/Å  two_theta  I (rel.)
5.357  16.5  1000
4.175  21.3  335
3.632  24.5  699
3.492  25.5  367
2.683  33.4  303
2.586  34.7  224
2.505  35.8  166
2.243  40.2  166

Cell and atoms:
a = 5.7918 Å, b = 5.7918 Å, c = 8.0659 Å
α = 109.97°, β = 109.97°, γ = 92.26°
Fractional coordinates of all 16 atoms:
Li 0.1728 0.8272 0.7500
Li 0.8272 0.1728 0.2500
Pa 0.5000 0.5000 0.0000
Pa 0.5000 0.5000 0.5000
Si 0.1384 0.8616 0.2500
Si 0.8616 0.1384 0.7500
O 0.1694 0.1968 0.8479
O 0.1968 0.1694 0.3479
O 0.2414 0.7354 0.4099
O 0.2646 0.7586 0.0901
O 0.4063 0.5937 0.7500
O 0.5937 0.4063 0.2500
O 0.7354 0.2414 0.9099
O 0.7586 0.2646 0.5901
O 0.8032 0.8306 0.6521
O 0.8306 0.8032 0.1521

[8]
LiPaTcO4: calculated powder XRD pattern (Cu Kα (weighted mean of Kα1 and Kα2)), based on DFT lattice parameters and positions (PBE).
Kinematic intensities with the Lorentz-polarization factor, no thermal factor.

Top 8 peaks for 10 to 90 degrees two-theta, by angle:
d/Å  two_theta  I (rel.)
5.463  16.2  305
4.725  18.8  1000
2.847  31.4  633
2.732  32.8  357
2.534  35.4  246
2.224  40.6  433
2.066  43.8  243
1.535  60.3  292

Cell and atoms:
a = 6.2323 Å, b = 6.2323 Å, c = 6.2323 Å
α = 125.70°, β = 110.14°, γ = 94.13°
Fractional coordinates of all 14 atoms:
Li 0.3900 0.1400 0.2500
Li 0.6100 0.8600 0.7500
Pa 0.0000 0.5000 0.5000
Pa 0.5000 0.5000 0.0000
Tc 0.0000 0.0000 0.5000
Tc 0.0000 0.5000 0.0000
O 0.2170 0.2385 0.9785
O 0.2400 0.7615 0.4785
O 0.2552 0.2683 0.5131
O 0.2552 0.7421 0.9869
O 0.7448 0.2579 0.0131
O 0.7448 0.7317 0.4869
O 0.7600 0.2385 0.5215
O 0.7830 0.7615 0.0215